Record 1
For Mg3Tl, a DFT-relaxed cell (GGA-PBE, Alexandria) gives the simulated XRD peak list in this record (Cu Kα (λ = 1.5418 Å)).

Principal peaks in the range 2θ from 15° to 90°, by intensity:
hkl	2θ (°)	I_rel
1 0 4	33.50	100
0 0 6	16.95	67
0 1 8	39.11	66
1 0 1	31.58	46
0 1 2	31.97	44
0 1 5	34.61	36
0 0 12	34.28	31
1 0 7	37.44	29
1 1 12	67.31	26
0 0 9	25.54	26

Crystal structure
```
data_Mg3Tl
_cell_length_a 3.2853
_cell_length_b 3.2853
_cell_length_c 31.3865
_cell_angle_alpha 90.00
_cell_angle_beta 90.00
_cell_angle_gamma 120.00
_space_group_name_H-M_alt 'R -3 m'
_space_group_IT_number 166
_space_group_name_Hall '-R 3 2"'
loop_
_atom_site_label
_atom_site_fract_x
_atom_site_fract_y
_atom_site_fract_z
_atom_site_occupancy
Mg1 0.0000 0.0000 0.0000 1
Mg2 0.0000 0.0000 0.2502 1
Tl1 0.0000 0.0000 0.5000 1
```

=====

Record 2
For Mg3Tl, a DFT-relaxed cell (GGA-PBE, Alexandria) gives the simulated XRD peak list in this record (Cu Kα (λ = 1.5418 Å)).

Principal peaks in the range 2θ from 15° to 90°, by intensity:
hkl	2θ (°)	I_rel
0 0 1	17.12	100
0 1 0	18.07	89
0 1 1	18.32	86
1 -1 0	31.35	65
1 0 0	28.14	62
0 0 2	34.64	47
1 1 0	35.72	37
1 -1 1	35.89	36
-1 1 1	36.02	36
1 1 2	36.12	36

Crystal structure
```
data_Mg3Tl
_cell_length_a 3.3316
_cell_length_b 5.5253
_cell_length_c 6.0578
_cell_angle_alpha 63.74
_cell_angle_beta 74.26
_cell_angle_gamma 89.92
_space_group_name_H-M_alt 'P 1'
_space_group_IT_number 1
loop_
_space_group_symop_operation_xyz
'x,y,z'
loop_
_atom_site_label
_atom_site_fract_x
_atom_site_fract_y
_atom_site_fract_z
_atom_site_occupancy
Mg1 0.0000 0.0000 0.0000 1
Mg2 0.2499 0.5918 0.5009 1
Mg3 0.5004 0.5000 0.0010 1
Tl1 0.7512 0.0902 0.5002 1
```

=====

Record 3
For Mg2Tl3, a DFT-relaxed cell (GGA-PBE, Alexandria) gives the simulated XRD peak list in this record (Cu Kα (λ = 1.5418 Å)).

Principal peaks in the range 2θ from 15° to 90°, by intensity:
hkl	2θ (°)	I_rel
1 0 5	33.34	100
1 1 0	35.72	50
1 0 0	25.05	35
2 1 5	62.66	33
2 0 0	51.40	20
1 1 10	58.01	19
0 0 5	21.65	18
1 1 5	42.15	13
1 0 11	55.63	12
1 0 4	30.59	12

Crystal structure
```
data_Mg2Tl3
_cell_length_a 3.5552
_cell_length_b 3.5552
_cell_length_c 20.5256
_cell_angle_alpha 90.00
_cell_angle_beta 90.00
_cell_angle_gamma 90.00
_space_group_name_H-M_alt 'P 4/m m m'
_space_group_IT_number 123
_space_group_name_Hall '-P 4 2'
loop_
_atom_site_label
_atom_site_fract_x
_atom_site_fract_y
_atom_site_fract_z
_atom_site_occupancy
Mg1 0.0000 0.0000 0.0947 1
Mg2 0.0000 0.0000 0.2839 1
Tl1 0.0000 0.0000 0.5000 1
Tl2 0.5000 0.5000 0.0000 1
Tl3 0.5000 0.5000 0.1897 1
Tl4 0.5000 0.5000 0.3789 1
```

=====

Record 4
For Mg2Tl, a DFT-relaxed cell (GGA-PBE, Alexandria) gives the simulated XRD peak list in this record (Cu Kα (λ = 1.5418 Å)).

Principal peaks in the range 2θ from 15° to 90°, by intensity:
hkl	2θ (°)	I_rel
1 1 2	38.79	100
1 0 5	31.33	98
1 0 3	28.49	82
1 0 7	35.20	77
1 0 1	26.97	58
1 1 10	50.85	49
1 0 9	39.85	41
0 0 8	25.69	37
1 1 6	43.11	32
2 0 4	56.90	31

Crystal structure
```
data_Mg2Tl
_cell_length_a 3.3300
_cell_length_b 3.3300
_cell_length_c 27.7453
_cell_angle_alpha 90.00
_cell_angle_beta 90.00
_cell_angle_gamma 90.00
_space_group_name_H-M_alt 'I 41/a m d'
_space_group_IT_number 141
loop_
_space_group_symop_operation_xyz
'x,y,z'
'-x,-y,-z'
'-y+1/4,x+3/4,z+1/4'
'y+1/4,-x+3/4,-z+1/4'
'-x+1/2,-y,z+1/2'
'x+1/2,y,-z+1/2'
'y+1/4,-x+1/4,z+3/4'
'-y+1/4,x+1/4,-z+3/4'
'x,-y,-z'
'-x,y,z'
'-y+1/4,-x+1/4,-z+3/4'
'y+1/4,x+1/4,z+3/4'
'-x+1/2,y,-z+1/2'
'x+1/2,-y,z+1/2'
'y+1/4,x+3/4,-z+1/4'
'-y+1/4,-x+3/4,z+1/4'
'x+1/2,y+1/2,z+1/2'
'-x+1/2,-y+1/2,-z+1/2'
'-y+3/4,x+1/4,z+3/4'
'y+3/4,-x+1/4,-z+3/4'
'-x,-y+1/2,z'
'x,y+1/2,-z'
'y+3/4,-x+3/4,z+1/4'
'-y+3/4,x+3/4,-z+1/4'
'x+1/2,-y+1/2,-z+1/2'
'-x+1/2,y+1/2,z+1/2'
'-y+3/4,-x+3/4,-z+1/4'
'y+3/4,x+3/4,z+1/4'
'-x,y+1/2,-z'
'x,-y+1/2,z'
'y+3/4,x+1/4,-z+3/4'
'-y+3/4,-x+1/4,z+3/4'
loop_
_atom_site_label
_atom_site_fract_x
_atom_site_fract_y
_atom_site_fract_z
_atom_site_occupancy
Mg1 0.0000 0.2500 0.2968 1
Tl1 0.0000 0.2500 0.8750 1
```

=====

Record 5
For Mg3Tl, a DFT-relaxed cell (GGA-PBE, Alexandria) gives the simulated XRD peak list in this record (Cu Kα (λ = 1.5418 Å)).

Principal peaks in the range 2θ from 15° to 90°, by intensity:
hkl	2θ (°)	I_rel
0 0 2	16.91	100
0 1 0	16.66	79
1 1 -2	34.54	65
1 1 2	37.42	57
0 0 4	34.20	47
1 0 2	31.69	45
0 1 -2	21.63	41
1 -1 0	31.55	38
1 0 0	26.60	35
0 1 2	25.84	31

Crystal structure
```
data_Mg3Tl
_cell_length_a 3.3515
_cell_length_b 5.4041
_cell_length_c 10.6477
_cell_angle_alpha 100.00
_cell_angle_beta 90.01
_cell_angle_gamma 90.01
_space_group_name_H-M_alt 'P 1'
_space_group_IT_number 1
loop_
_space_group_symop_operation_xyz
'x,y,z'
loop_
_atom_site_label
_atom_site_fract_x
_atom_site_fract_y
_atom_site_fract_z
_atom_site_occupancy
Mg1 0.0000 0.0000 0.0000 1
Mg2 0.0007 0.2589 0.7492 1
Mg3 0.4994 0.7693 0.7486 1
Mg4 0.4986 0.9216 0.2481 1
Mg5 0.9975 0.4212 0.2479 1
Mg6 0.9984 0.8398 0.4966 1
Tl1 0.4972 0.3414 0.5028 1
Tl2 0.4974 0.5007 0.9944 1
```

=====

Record 6
For Mg6Tl5, a DFT-relaxed cell (GGA-PBE, Alexandria) gives the simulated XRD peak list in this record (Cu Kα (λ = 1.5418 Å)).

Principal peaks in the range 2θ from 15° to 90°, by intensity:
hkl	2θ (°)	I_rel
1 2 3	35.06	100
1 0 3	24.91	64
0 2 0	24.28	34
0 0 6	35.41	24
2 0 0	35.61	24
3 2 3	63.60	18
1 2 9	63.35	18
2 0 6	51.10	17
0 2 6	43.41	16
2 2 0	43.57	15

Crystal structure
```
data_Mg6Tl5
_cell_length_a 5.0428
_cell_length_b 7.3305
_cell_length_c 15.2081
_cell_angle_alpha 90.00
_cell_angle_beta 90.00
_cell_angle_gamma 90.00
_space_group_name_H-M_alt 'I m m m'
_space_group_IT_number 71
_space_group_name_Hall '-I 2 2'
loop_
_atom_site_label
_atom_site_fract_x
_atom_site_fract_y
_atom_site_fract_z
_atom_site_occupancy
Mg1 0.0000 0.2333 0.0000 1
Mg2 0.0000 0.2630 0.3422 1
Tl1 0.0000 0.0000 0.1663 1
Tl2 0.0000 0.0000 0.5000 1
Tl3 0.0000 0.5000 0.1664 1
```